(1)
The following is a simulated X-ray diffraction stick pattern of NpCd2F11. It was derived from the PBE geometry in Alexandria, using a wavelength of 1.5418 Å.
Intensities are scaled so that the largest is 100.

```
NpCd2F11
1.0
-3.946 5.335 5.912
3.946 -5.335 5.912
3.946 5.335 -5.912
Np Cd F
2 4 22
Direct
0.250 0.250 0.000 Np
0.750 0.750 0.000 Np
0.180 0.615 0.795 Cd
0.320 0.115 0.436 Cd
0.680 0.885 0.564 Cd
0.820 0.385 0.205 Cd
0.000 0.500 0.500 F
0.001 0.070 0.763 F
0.090 0.354 0.143 F
0.192 0.430 0.930 F
0.211 0.947 0.857 F
0.235 0.353 0.587 F
0.265 0.853 0.118 F
0.289 0.146 0.737 F
0.308 0.238 0.237 F
0.410 0.553 0.263 F
0.499 0.262 0.070 F
0.500 0.000 0.500 F
0.501 0.738 0.930 F
0.590 0.447 0.737 F
0.692 0.762 0.763 F
0.711 0.854 0.263 F
0.735 0.147 0.882 F
0.765 0.647 0.413 F
0.789 0.053 0.143 F
0.808 0.570 0.070 F
0.910 0.646 0.857 F
0.999 0.930 0.237 F
```

Main lines, in order of rising 2θ (10° ≤ 2θ ≤ 80°):
2theta, I/Imax
14.0, 37
20.5, 100
22.5, 64
25.2, 18
27.5, 21
30.2, 12
41.3, 25
45.5, 18
46.7, 15
49.2, 12

(2)
The following is a simulated X-ray diffraction stick pattern of Cd4O3F. It was derived from the PBE geometry in Alexandria, using a wavelength of 1.5418 Å.
Intensities are scaled so that the largest is 100.

```
Cd4O3F
1.0
7.476 0.000 0.000
0.000 6.463 0.000
0.000 0.000 5.978
Cd O F
8 6 2
Direct
0.000 0.166 0.000 Cd
0.000 0.808 0.535 Cd
0.233 0.656 0.033 Cd
0.267 0.344 0.533 Cd
0.500 0.192 0.035 Cd
0.500 0.834 0.500 Cd
0.733 0.344 0.533 Cd
0.767 0.656 0.033 Cd
0.000 0.836 0.906 O
0.249 0.332 0.906 O
0.251 0.668 0.406 O
0.500 0.164 0.406 O
0.749 0.668 0.406 O
0.751 0.332 0.906 O
0.000 0.166 0.409 F
0.500 0.834 0.909 F
```

Main lines, in order of rising 2θ (10° ≤ 2θ ≤ 80°):
2theta, I/Imax
27.6, 40
29.9, 34
31.4, 100
41.1, 20
48.8, 29
54.1, 29
56.9, 4
58.3, 26
59.2, 14
75.7, 6

(3)
The following is a simulated X-ray diffraction stick pattern of Cd4OF3. It was derived from the PBE geometry in Alexandria, using a wavelength of 1.5418 Å.
Intensities are scaled so that the largest is 100.

```
Cd4OF3
1.0
7.916 0.000 0.000
0.000 6.092 0.000
0.000 0.000 5.743
Cd O F
8 2 6
Direct
0.000 0.122 0.000 Cd
0.000 0.873 0.589 Cd
0.243 0.701 0.979 Cd
0.257 0.299 0.479 Cd
0.500 0.127 0.089 Cd
0.500 0.878 0.500 Cd
0.743 0.299 0.479 Cd
0.757 0.701 0.979 Cd
0.000 0.184 0.375 O
0.500 0.816 0.875 O
0.000 0.496 0.892 F
0.190 0.670 0.379 F
0.310 0.330 0.879 F
0.500 0.504 0.392 F
0.690 0.330 0.879 F
0.810 0.670 0.379 F
```

Main lines, in order of rising 2θ (10° ≤ 2θ ≤ 80°):
2theta, I/Imax
26.9, 26
31.1, 100
33.3, 28
37.2, 9
41.6, 10
45.9, 13
49.3, 11
50.5, 13
55.4, 14
57.8, 12

(4)
The following is a simulated X-ray diffraction stick pattern of Cd4O3F. It was derived from the PBE geometry in Alexandria, using a wavelength of 1.5418 Å.
Intensities are scaled so that the largest is 100.

```
Cd4O3F
1.0
3.719 0.000 0.000
0.000 3.736 5.175
0.000 -3.736 5.175
Cd O F
4 3 1
Direct
0.000 0.000 0.000 Cd
0.000 0.480 0.480 Cd
0.500 0.021 0.488 Cd
0.500 0.488 0.021 Cd
0.000 0.117 0.628 O
0.000 0.628 0.117 O
0.500 0.122 0.122 O
0.500 0.625 0.625 F
```

Main lines, in order of rising 2θ (10° ≤ 2θ ≤ 80°):
2theta, I/Imax
29.5, 100
34.0, 24
34.7, 11
48.8, 7
49.0, 8
49.4, 28
58.1, 13
58.2, 13
59.0, 11
80.0, 4

(5)
The following is a simulated X-ray diffraction stick pattern of CdOF. It was derived from the PBE geometry in Alexandria, using a wavelength of 1.5418 Å.
Intensities are scaled so that the largest is 100.

```
CdOF
1.0
1.797 1.037 7.737
-1.797 1.037 7.737
0.000 -2.075 7.737
Cd O F
2 2 2
Direct
0.000 0.000 0.000 Cd
0.158 0.158 0.158 Cd
0.381 0.381 0.381 O
0.445 0.445 0.445 O
0.625 0.625 0.625 F
0.869 0.869 0.869 F
```

Main lines, in order of rising 2θ (10° ≤ 2θ ≤ 80°):
2theta, I/Imax
23.0, 98
28.9, 100
29.7, 41
32.6, 26
34.7, 69
39.7, 78
42.6, 38
50.8, 60
56.5, 48
59.7, 27

(6)
The following is a simulated X-ray diffraction stick pattern of Cd6O5F. It was derived from the PBE geometry in Alexandria, using a wavelength of 1.5418 Å.
Intensities are scaled so that the largest is 100.

```
Cd6O5F
1.0
2.971 -5.140 0.000
2.971 5.140 0.000
-1.990 0.000 5.581
Cd O F
6 5 1
Direct
0.065 0.414 0.743 Cd
0.238 0.238 0.258 Cd
0.414 0.065 0.743 Cd
0.586 0.935 0.257 Cd
0.762 0.762 0.742 Cd
0.935 0.586 0.257 Cd
0.000 0.000 0.500 O
0.168 0.832 0.000 O
0.341 0.659 0.500 O
0.659 0.341 0.500 O
0.832 0.168 0.000 O
0.500 0.500 0.000 F
```

Main lines, in order of rising 2θ (10° ≤ 2θ ≤ 80°):
2theta, I/Imax
32.0, 100
37.1, 92
53.4, 29
53.6, 29
63.7, 16
63.7, 16
63.9, 7
66.9, 14
67.1, 5
79.1, 5